Record 1
# SrTa4Sb
Computed X-ray powder pattern, Cu Kα (λ = 1.5418 Å). Input: the GGA-PBE geometry in Alexandria.
Lines closer than 0.1° are merged.

Largest 12 diffraction maxima, in order of rising 2θ, 10 to 90 degrees two-theta:
Position (°2θ)  I (rel.)
18.89  29
31.09  14
36.63  100
38.32  59
44.54  15
48.78  9
55.31  6
58.98  35
64.81  32
68.18  6
76.81  11
77.87  22

Crystal structure
```
SrTa4Sb
1.0
0.0000 4.0687 4.0687
4.0687 0.0000 4.0687
4.0687 4.0687 0.0000
Sr Ta Sb
1 4 1
Cartesian
0.0000 0.0000 0.0000 Sr
5.1191 3.0182 3.0182 Ta
3.0182 5.1191 3.0182 Ta
3.0182 3.0182 5.1191 Ta
5.1191 5.1191 5.1191 Ta
2.0343 2.0343 2.0343 Sb
```

Record 2
# PmTa4N8
Computed X-ray powder pattern, Cu Kα (λ = 1.5418 Å). Input: the GGA-PBE geometry in Alexandria.
Lines closer than 0.1° are merged.

Largest 12 diffraction maxima, in order of rising 2θ, 10 to 90 degrees two-theta:
Position (°2θ)  I (rel.)
15.82  43
18.05  44
28.17  47
28.60  72
31.95  85
33.53  100
33.78  76
34.41  43
34.64  68
35.97  49
47.27  49
57.95  48

Crystal structure
```
PmTa4N8
1.0
7.3534 -1.5907 0.0000
7.3534 1.5907 0.0000
-6.3681 0.0000 7.4911
Pm Ta N
1 4 8
Cartesian
0.0000 0.0000 0.0000 Pm
-3.8833 0.0000 5.2073 Ta
1.0428 0.0000 3.0732 Ta
5.6004 0.0000 2.7718 Ta
10.6394 0.0000 0.4025 Ta
-0.8619 0.0000 3.7466 N
-2.4890 0.0000 6.6811 N
2.2802 0.0000 1.3659 N
4.0874 0.0000 4.1300 N
2.5259 0.0000 6.4456 N
7.4605 0.0000 1.7534 N
8.9863 0.0000 4.1355 N
12.3622 0.0000 1.4606 N
```

Record 3
# Rb2AgMoBr6
Computed X-ray powder pattern, Cu Kα (λ = 1.5418 Å). Input: the GGA-PBE geometry in Alexandria.
Lines closer than 0.1° are merged.

Largest 12 diffraction maxima, in order of rising 2θ, 10 to 90 degrees two-theta:
Position (°2θ)  I (rel.)
14.06  48
23.18  25
27.03  21
29.15  56
31.22  100
35.27  31
35.89  18
36.82  21
41.96  18
47.39  54
47.70  24
76.12  20

Crystal structure
```
Rb2AgMoBr6
1.0
3.8367 2.2151 13.1931
-3.8367 2.2151 13.1931
0.0000 -4.4302 13.1931
Rb Ag Mo Br
4 2 2 12
Cartesian
0.0000 0.0000 4.8971 Rb
0.0000 0.0000 11.8442 Rb
0.0000 0.0000 27.7350 Rb
0.0000 0.0000 34.6820 Rb
0.0000 0.0000 16.4447 Ag
0.0000 0.0000 23.1344 Ag
0.0000 0.0000 0.0000 Mo
0.0000 0.0000 19.7896 Mo
-1.8768 -1.0836 18.2920 Br
0.0000 -2.3015 14.7280 Br
-1.9932 1.1508 14.7280 Br
-1.9932 -1.1508 24.8512 Br
0.0000 -2.1671 21.2872 Br
-1.8768 1.0836 21.2872 Br
1.8768 -1.0836 18.2919 Br
0.0000 2.1671 18.2919 Br
1.9932 1.1508 14.7280 Br
1.9932 -1.1508 24.8512 Br
0.0000 2.3015 24.8512 Br
1.8768 1.0836 21.2872 Br
```

Record 4
# SbPb3
Computed X-ray powder pattern, Cu Kα (λ = 1.5418 Å). Input: the GGA-PBE geometry in Alexandria.
Lines closer than 0.1° are merged.

Largest 12 diffraction maxima, in order of rising 2θ, 10 to 90 degrees two-theta:
Position (°2θ)  I (rel.)
28.88  20
30.77  13
31.08  48
31.29  100
31.48  49
33.45  82
41.43  19
47.76  13
48.32  12
54.47  13
58.40  20
58.74  15

Crystal structure
```
SbPb3
1.0
6.3675 0.0000 0.0000
0.7018 6.3460 0.0000
0.6727 2.9804 6.1902
Sb Pb
2 6
Cartesian
1.1030 2.6160 2.2701 Sb
6.6390 6.7104 3.9201 Sb
1.7439 4.2349 5.5746 Pb
2.8109 5.3842 1.9776 Pb
3.5381 7.2222 4.8806 Pb
4.2039 2.1041 1.3096 Pb
4.9311 3.9421 4.2126 Pb
5.9980 5.0915 0.6156 Pb
```

Record 5
# TlAg2RuF8
Computed X-ray powder pattern, Cu Kα (λ = 1.5418 Å). Input: the GGA-PBE geometry in Alexandria.
Lines closer than 0.1° are merged.

Largest 12 diffraction maxima, in order of rising 2θ, 10 to 90 degrees two-theta:
Position (°2θ)  I (rel.)
23.88  89
24.71  83
28.50  100
29.68  71
32.56  21
36.60  22
44.14  45
45.12  34
46.56  26
47.50  28
54.08  22
61.66  27

Crystal structure
```
TlAg2RuF8
1.0
4.9134 0.0000 0.0000
0.0000 7.6175 0.0000
-0.1878 0.0000 5.5005
Tl Ag Ru F
1 2 1 8
Cartesian
0.0000 0.0000 0.0000 Tl
2.3628 1.8762 2.7503 Ag
2.3628 5.7413 2.7503 Ag
0.0000 3.8087 0.0000 Ru
0.6297 2.3944 4.4404 F
0.6297 5.2231 4.4404 F
1.4553 3.8087 1.2758 F
1.9070 0.0000 1.4457 F
2.8186 0.0000 4.0549 F
3.2704 3.8087 4.2248 F
4.0960 2.3944 1.0601 F
4.0960 5.2231 1.0601 F
```

Record 6
# LaPm12Er6
Computed X-ray powder pattern, Cu Kα (λ = 1.5418 Å). Input: the GGA-PBE geometry in Alexandria.
Lines closer than 0.1° are merged.

Largest 12 diffraction maxima, in order of rising 2θ, 10 to 90 degrees two-theta:
Position (°2θ)  I (rel.)
22.81  9
30.44  39
31.03  23
31.32  100
32.55  66
32.97  29
34.47  17
44.51  12
52.38  10
54.68  18
57.49  13
65.39  10

Crystal structure
```
LaPm12Er6
1.0
6.0509 3.4935 5.0982
-6.0509 3.4935 5.0982
0.0000 -6.9870 5.0982
La Pm Er
1 12 6
Cartesian
0.0000 0.0000 0.0000 La
-2.0989 -0.0659 2.9369 Pm
1.1066 -1.7848 2.9369 Pm
-2.0997 -0.4770 6.3689 Pm
0.9924 1.8507 2.9369 Pm
-0.6367 -2.0568 8.9256 Pm
1.4629 -1.5799 6.3689 Pm
-1.4629 1.5799 8.9256 Pm
0.6368 2.0568 6.3689 Pm
-0.9924 -1.8507 12.3576 Pm
2.0997 0.4770 8.9256 Pm
-1.1066 1.7848 12.3576 Pm
2.0989 0.0659 12.3577 Pm
-0.9646 -3.6267 5.3838 Er
-2.6585 2.6487 5.3838 Er
-3.6231 -0.9780 9.9107 Er
3.6231 0.9780 5.3838 Er
2.6585 -2.6487 9.9107 Er
0.9646 3.6267 9.9107 Er
```

Record 7
# RbCeI2Br6
Computed X-ray powder pattern, Cu Kα (λ = 1.5418 Å). Input: the GGA-PBE geometry in Alexandria.
Lines closer than 0.1° are merged.

Largest 12 diffraction maxima, in order of rising 2θ, 10 to 90 degrees two-theta:
Position (°2θ)  I (rel.)
11.03  31
14.11  96
23.18  67
24.16  100
27.48  55
28.33  26
28.64  45
32.32  27
32.35  42
32.52  51
33.72  32
45.99  38

Crystal structure
```
RbCeI2Br6
1.0
6.5154 0.0000 0.0000
-1.4473 8.1034 0.0000
-1.4167 -1.1898 8.4371
Rb Ce I Br
1 1 2 6
Cartesian
0.0000 0.0000 0.0000 Rb
2.8354 -0.0079 4.3815 Ce
2.1191 5.0863 1.0211 I
4.6341 2.0996 6.0086 I
0.0310 6.0933 2.7651 Br
0.7456 1.7969 4.0516 Br
1.7890 -0.7595 6.8347 Br
3.8808 1.1383 2.1090 Br
2.4820 3.5104 7.5249 Br
3.4728 6.3787 4.8213 Br
```

Record 8
# Sr2Ga4HgPd3
Computed X-ray powder pattern, Cu Kα (λ = 1.5418 Å). Input: the GGA-PBE geometry in Alexandria.
Lines closer than 0.1° are merged.

Largest 12 diffraction maxima, in order of rising 2θ, 10 to 90 degrees two-theta:
Position (°2θ)  I (rel.)
17.33  15
28.97  12
32.77  100
39.43  50
45.20  30
48.74  10
52.16  17
56.98  17
61.47  11
67.31  21
75.55  12
87.35  9

Crystal structure
```
Sr2Ga4HgPd3
1.0
4.5710 0.0000 0.0000
0.0000 4.5710 0.0000
0.0000 0.0000 10.2346
Sr Ga Hg Pd
2 4 1 3
Cartesian
0.0000 2.2855 2.5388 Sr
2.2855 0.0000 7.6958 Sr
0.0000 0.0000 0.0000 Ga
0.0000 2.2855 6.5202 Ga
2.2855 0.0000 3.7143 Ga
2.2855 2.2855 0.0000 Ga
0.0000 0.0000 5.1173 Hg
0.0000 2.2855 9.0389 Pd
2.2855 0.0000 1.1957 Pd
2.2855 2.2855 5.1173 Pd
```

Record 9
# Y4Re6O19
Computed X-ray powder pattern, Cu Kα (λ = 1.5418 Å). Input: the GGA-PBE geometry in Alexandria.
Lines closer than 0.1° are merged.

Largest 12 diffraction maxima, in order of rising 2θ, 10 to 90 degrees two-theta:
Position (°2θ)  I (rel.)
13.90  38
19.71  55
24.20  18
31.41  100
37.35  61
49.58  12
51.75  75
55.91  19
61.80  30
67.37  14
70.97  11
84.74  14

Crystal structure
```
Y4Re6O19
1.0
-4.5038 4.5038 4.5038
4.5038 -4.5038 4.5038
4.5038 4.5038 -4.5038
Y Re O
4 6 19
Cartesian
1.3210 1.3210 -1.3210 Y
1.3210 -1.3210 1.3210 Y
-1.3210 1.3210 1.3210 Y
3.1828 3.1828 3.1828 Y
4.5038 1.2097 0.0000 Re
4.5038 0.0000 3.2940 Re
3.2940 4.5038 0.0000 Re
1.2097 0.0000 4.5038 Re
0.0000 4.5038 1.2097 Re
0.0000 3.2940 4.5038 Re
0.0000 0.0000 0.0000 O
2.8410 0.0000 0.0000 O
6.1666 0.0000 0.0000 O
4.6965 -1.4676 1.9680 O
3.0362 2.5358 -0.1927 O
5.9714 2.5358 0.1927 O
0.0000 2.8410 0.0000 O
0.0000 0.0000 2.8410 O
2.5358 -0.1927 3.0362 O
1.9680 4.6965 -1.4676 O
4.3111 1.4676 1.9680 O
-0.1927 3.0362 2.5358 O
1.9680 4.3111 1.4676 O
2.5358 0.1927 5.9714 O
0.0000 6.1666 0.0000 O
0.0000 0.0000 6.1666 O
1.4676 1.9680 4.3111 O
-1.4676 1.9680 4.6965 O
0.1927 5.9714 2.5358 O
```

Record 10
# NdGaAu11
Computed X-ray powder pattern, Cu Kα (λ = 1.5418 Å). Input: the GGA-PBE geometry in Alexandria.
Lines closer than 0.1° are merged.

Largest 12 diffraction maxima, in order of rising 2θ, 10 to 90 degrees two-theta:
Position (°2θ)  I (rel.)
31.61  20
32.58  16
33.18  23
36.31  32
36.80  28
37.48  100
38.64  48
40.58  25
42.03  21
42.26  21
42.39  34
66.00  20

Crystal structure
```
NdGaAu11
1.0
2.7563 -6.7588 0.0000
2.7563 6.7588 0.0000
-2.2283 0.0000 6.8017
Nd Ga Au
1 1 11
Cartesian
0.0000 0.0000 0.0000 Nd
1.6421 0.0000 3.4009 Ga
-1.1141 0.0000 3.4009 Au
1.3781 3.3794 0.0000 Au
0.5041 4.3935 4.4315 Au
0.5923 1.4138 5.3220 Au
2.7802 4.3935 2.3702 Au
2.6920 1.4138 1.4798 Au
1.3781 -3.3794 0.0000 Au
0.5923 -1.4138 5.3220 Au
0.5041 -4.3935 4.4315 Au
2.6920 -1.4138 1.4798 Au
2.7802 -4.3935 2.3702 Au
```

Record 11
# CeDy2MoN4
Computed X-ray powder pattern, Cu Kα (λ = 1.5418 Å). Input: the GGA-PBE geometry in Alexandria.
Lines closer than 0.1° are merged.

Largest 12 diffraction maxima, in order of rising 2θ, 10 to 90 degrees two-theta:
Position (°2θ)  I (rel.)
27.27  38
30.31  89
31.26  100
35.69  32
38.14  77
43.40  24
47.53  16
49.46  24
52.62  32
53.82  16
63.03  27
74.62  17

Crystal structure
```
CeDy2MoN4
1.0
1.7033 -5.9009 0.0000
1.7033 5.9009 0.0000
0.0000 0.0000 11.7870
Ce Dy Mo N
2 4 2 8
Cartesian
1.7033 4.6786 8.8403 Ce
1.7033 -4.6786 2.9468 Ce
1.7033 1.5330 6.3530 Dy
1.7033 1.5330 11.3275 Dy
1.7033 -1.5330 0.4595 Dy
1.7033 -1.5330 5.4340 Dy
1.7033 4.0508 2.9468 Mo
1.7033 -4.0508 8.8403 Mo
0.0000 0.0000 0.0000 N
0.0000 0.0000 5.8935 N
1.7033 2.7766 1.4758 N
1.7033 2.7766 4.4177 N
1.7033 0.6143 8.8403 N
1.7033 -0.6143 2.9468 N
1.7033 -2.7766 7.3693 N
1.7033 -2.7766 10.3112 N
```

Record 12
# ErThTc
Computed X-ray powder pattern, Cu Kα (λ = 1.5418 Å). Input: the GGA-PBE geometry in Alexandria.
Lines closer than 0.1° are merged.

Largest 12 diffraction maxima, in order of rising 2θ, 10 to 90 degrees two-theta:
Position (°2θ)  I (rel.)
28.88  96
30.12  62
30.57  61
32.19  100
36.83  95
37.51  32
37.88  32
40.88  27
44.19  26
47.36  36
49.99  21
53.93  24

Crystal structure
```
ErThTc
1.0
6.7844 0.0000 0.0000
0.0000 7.0512 0.0000
-4.5710 0.0000 6.5412
Er Th Tc
4 4 4
Cartesian
-0.3245 1.2226 2.8774 Er
-2.6100 2.3030 6.1481 Er
4.8235 4.7482 0.3932 Er
2.5380 5.8287 3.6638 Er
-0.9141 4.7418 3.7310 Th
1.3714 5.8350 0.4603 Th
0.8421 1.2162 6.0809 Th
3.1276 2.3094 2.8103 Th
0.5743 3.7115 1.7873 Tc
-1.7112 6.8653 5.0579 Tc
3.9247 0.1859 1.4833 Tc
1.6392 3.3397 4.7540 Tc
```